TbPaAsO2: simulated powder diffraction line list (Cu Kα X-rays), based on a DFT-relaxed cell (PBE, Alexandria).
Neutral-atom scattering factors, no anomalous dispersion.

Principal peaks in the range 15° ≤ 2θ ≤ 90°, low angle first:
- 3.635 Å, 24.49 deg, intensity 29
- 3.036 Å, 29.42 deg, intensity 9
- 2.774 Å, 32.27 deg, intensity 100
- 2.694 Å, 33.26 deg, intensity 46
- 2.015 Å, 44.99 deg, intensity 19
- 1.905 Å, 47.75 deg, intensity 22
- 1.618 Å, 56.91 deg, intensity 15
- 1.579 Å, 58.46 deg, intensity 10
- 1.570 Å, 58.81 deg, intensity 37
- 1.215 Å, 78.74 deg, intensity 9

Cell lengths 6.642, 6.642, 6.642 Å; angles 146.67, 146.67, 47.85 degrees
Sites, in units of the cell vectors:
Tb 0.000 0.000 0.000
Pa 0.710 0.710 0.000
As 0.353 0.353 0.000
O 0.109 0.609 0.500
O 0.609 0.109 0.500

***

NaCu3Ag4Cl12: simulated powder diffraction line list (Cu Kα X-rays), based on a DFT-relaxed cell (PBE, Alexandria).
Neutral-atom scattering factors, no anomalous dispersion.

Principal peaks in the range 15° ≤ 2θ ≤ 90°, low angle first:
- 4.884 Å, 18.16 deg, intensity 17
- 3.453 Å, 25.80 deg, intensity 100
- 3.089 Å, 28.91 deg, intensity 22
- 2.442 Å, 36.81 deg, intensity 28
- 2.184 Å, 41.34 deg, intensity 18
- 1.994 Å, 45.49 deg, intensity 79
- 1.727 Å, 53.04 deg, intensity 13
- 1.544 Å, 59.89 deg, intensity 25
- 1.305 Å, 72.40 deg, intensity 20
- 1.151 Å, 84.09 deg, intensity 23

Cell lengths 8.459, 8.459, 8.459 Å; angles 109.47, 109.47, 109.47 degrees
Sites, in units of the cell vectors:
Na 0.000 0.000 0.000
Cu 0.000 0.500 0.500
Cu 0.500 0.000 0.500
Cu 0.500 0.500 0.000
Ag 0.000 0.000 0.500
Ag 0.000 0.500 0.000
Ag 0.500 0.000 0.000
Ag 0.500 0.500 0.500
Cl 0.162 0.328 0.490
Cl 0.162 0.672 0.834
Cl 0.166 0.838 0.328
Cl 0.328 0.166 0.838
Cl 0.328 0.490 0.162
Cl 0.490 0.162 0.328
Cl 0.510 0.838 0.672
Cl 0.672 0.510 0.838
Cl 0.672 0.834 0.162
Cl 0.834 0.162 0.672
Cl 0.838 0.328 0.166
Cl 0.838 0.672 0.510

***

NaSiAg2Se4: simulated powder diffraction line list (Cu Kα X-rays), based on a DFT-relaxed cell (PBE, Alexandria).
Neutral-atom scattering factors, no anomalous dispersion.

Principal peaks in the range 15° ≤ 2θ ≤ 90°, low angle first:
- 5.264 Å, 16.84 deg, intensity 32
- 4.955 Å, 17.90 deg, intensity 24
- 4.022 Å, 22.10 deg, intensity 22
- 3.123 Å, 28.59 deg, intensity 100
- 2.930 Å, 30.51 deg, intensity 22
- 2.910 Å, 30.73 deg, intensity 27
- 2.502 Å, 35.89 deg, intensity 22
- 2.477 Å, 36.26 deg, intensity 50
- 2.034 Å, 44.55 deg, intensity 22
- 1.933 Å, 47.01 deg, intensity 20

Cell lengths 6.382, 6.382, 6.382 Å; angles 113.90, 112.90, 101.87 degrees
Sites, in units of the cell vectors:
Na 0.000 0.000 0.000
Si 0.500 0.500 0.000
Ag 0.194 0.694 0.500
Ag 0.806 0.306 0.500
Se 0.154 0.544 0.007
Se 0.463 0.456 0.610
Se 0.537 0.147 0.993
Se 0.846 0.853 0.390

***

PrSn4RuRh2: simulated powder diffraction line list (Cu Kα X-rays), based on a DFT-relaxed cell (PBE, Alexandria).
Neutral-atom scattering factors, no anomalous dispersion.

Principal peaks in the range 15° ≤ 2θ ≤ 90°, low angle first:
- 3.220 Å, 27.70 deg, intensity 22
- 2.631 Å, 34.08 deg, intensity 82
- 2.301 Å, 39.15 deg, intensity 12
- 2.254 Å, 40.01 deg, intensity 100
- 2.158 Å, 41.86 deg, intensity 33
- 1.712 Å, 53.54 deg, intensity 23
- 1.559 Å, 59.29 deg, intensity 12
- 1.363 Å, 68.89 deg, intensity 22
- 1.301 Å, 72.67 deg, intensity 18
- 1.282 Å, 73.94 deg, intensity 13

Cell lengths 9.847, 9.847, 9.847 Å; angles 26.46, 26.46, 26.46 degrees
Sites, in units of the cell vectors:
Pr 0.000 0.000 0.000
Sn 0.132 0.132 0.132
Sn 0.398 0.398 0.398
Sn 0.602 0.602 0.602
Sn 0.868 0.868 0.868
Ru 0.500 0.500 0.500
Rh 0.230 0.230 0.230
Rh 0.770 0.770 0.770

***

Rb2SrH2I2: simulated powder diffraction line list (Cu Kα X-rays), based on a DFT-relaxed cell (PBE, Alexandria).
Neutral-atom scattering factors, no anomalous dispersion.

Principal peaks in the range 15° ≤ 2θ ≤ 90°, low angle first:
- 3.564 Å, 24.98 deg, intensity 100
- 3.195 Å, 27.92 deg, intensity 18
- 3.052 Å, 29.26 deg, intensity 65
- 2.860 Å, 31.27 deg, intensity 16
- 2.520 Å, 35.62 deg, intensity 40
- 2.379 Å, 37.81 deg, intensity 31
- 1.979 Å, 45.86 deg, intensity 18
- 1.943 Å, 46.75 deg, intensity 35
- 1.594 Å, 57.85 deg, intensity 19
- 1.379 Å, 67.99 deg, intensity 15

Cell lengths 10.227, 10.227, 10.227 Å; angles 151.47, 151.47, 40.79 degrees
Sites, in units of the cell vectors:
Rb 0.127 0.127 0.000
Rb 0.873 0.873 0.000
Sr 0.500 0.500 0.000
H 0.000 0.500 0.500
H 0.500 0.000 0.500
I 0.329 0.329 0.000
I 0.671 0.671 0.000

***

Ce7Tl2Os2: simulated powder diffraction line list (Cu Kα X-rays), based on a DFT-relaxed cell (PBE, Alexandria).
Neutral-atom scattering factors, no anomalous dispersion.

Principal peaks in the range 15° ≤ 2θ ≤ 90°, low angle first:
- 4.297 Å, 20.67 deg, intensity 50
- 3.556 Å, 25.04 deg, intensity 54
- 3.000 Å, 29.78 deg, intensity 35
- 2.798 Å, 31.99 deg, intensity 66
- 2.713 Å, 33.02 deg, intensity 20
- 2.515 Å, 35.70 deg, intensity 18
- 2.391 Å, 37.62 deg, intensity 52
- 2.372 Å, 37.92 deg, intensity 100
- 2.122 Å, 42.60 deg, intensity 37
- 1.677 Å, 54.72 deg, intensity 28

Cell lengths 6.993, 6.993, 6.708 Å; angles 90.00, 90.00, 106.30 degrees
Sites, in units of the cell vectors:
Ce 0.000 0.000 0.000
Ce 0.000 0.500 0.264
Ce 0.000 0.500 0.736
Ce 0.500 0.000 0.264
Ce 0.500 0.000 0.736
Ce 0.500 0.500 0.267
Ce 0.500 0.500 0.733
Tl 0.168 0.168 0.500
Tl 0.832 0.832 0.500
Os 0.291 0.709 0.000
Os 0.709 0.291 0.000

***

Tb3Pm3Tm8: simulated powder diffraction line list (Cu Kα X-rays), based on a DFT-relaxed cell (PBE, Alexandria).
Neutral-atom scattering factors, no anomalous dispersion.

Principal peaks in the range 15° ≤ 2θ ≤ 90°, low angle first:
- 2.988 Å, 29.90 deg, intensity 32
- 2.901 Å, 30.82 deg, intensity 29
- 2.800 Å, 31.97 deg, intensity 53
- 2.790 Å, 32.08 deg, intensity 100
- 2.641 Å, 33.94 deg, intensity 57
- 2.015 Å, 45.00 deg, intensity 21
- 1.615 Å, 57.04 deg, intensity 20
- 1.584 Å, 58.24 deg, intensity 12
- 1.503 Å, 61.70 deg, intensity 12
- 1.477 Å, 62.91 deg, intensity 16

Cell lengths 9.617, 9.617, 9.617 Å; angles 146.15, 112.45, 77.74 degrees
Sites, in units of the cell vectors:
Tb 0.000 0.000 0.000
Tb 0.298 0.000 0.298
Tb 0.702 0.000 0.702
Pm 0.315 0.815 0.500
Pm 0.500 0.500 0.000
Pm 0.685 0.185 0.500
Tm 0.055 0.397 0.658
Tm 0.059 0.220 0.839
Tm 0.261 0.603 0.658
Tm 0.381 0.220 0.161
Tm 0.619 0.780 0.839
Tm 0.739 0.397 0.342
Tm 0.941 0.780 0.161
Tm 0.945 0.603 0.342

***

Cd3In8Hg4: simulated powder diffraction line list (Cu Kα X-rays), based on a DFT-relaxed cell (PBE, Alexandria).
Neutral-atom scattering factors, no anomalous dispersion.

Principal peaks in the range 15° ≤ 2θ ≤ 90°, low angle first:
- 4.225 Å, 21.03 deg, intensity 10
- 2.817 Å, 31.76 deg, intensity 73
- 2.491 Å, 36.05 deg, intensity 100
- 1.992 Å, 45.53 deg, intensity 28
- 1.556 Å, 59.40 deg, intensity 46
- 1.409 Å, 66.36 deg, intensity 9
- 1.389 Å, 67.44 deg, intensity 14
- 1.260 Å, 75.45 deg, intensity 12
- 1.246 Å, 76.47 deg, intensity 10
- 1.226 Å, 77.91 deg, intensity 10

Cell lengths 5.635, 5.635, 12.768 Å; angles 90.00, 90.00, 90.00 degrees
Sites, in units of the cell vectors:
Cd 0.000 0.000 0.000
Cd 0.000 0.000 0.500
Cd 0.500 0.500 0.000
In 0.000 0.000 0.249
In 0.000 0.000 0.751
In 0.000 0.500 0.375
In 0.000 0.500 0.872
In 0.500 0.000 0.128
In 0.500 0.000 0.625
In 0.500 0.500 0.260
In 0.500 0.500 0.740
Hg 0.000 0.500 0.118
Hg 0.000 0.500 0.612
Hg 0.500 0.000 0.388
Hg 0.500 0.000 0.882

***

Repeat the third record exactly.
NaSiAg2Se4: simulated powder diffraction line list (Cu Kα X-rays), based on a DFT-relaxed cell (PBE, Alexandria).
Neutral-atom scattering factors, no anomalous dispersion.

Principal peaks in the range 15° ≤ 2θ ≤ 90°, low angle first:
- 5.264 Å, 16.84 deg, intensity 32
- 4.955 Å, 17.90 deg, intensity 24
- 4.022 Å, 22.10 deg, intensity 22
- 3.123 Å, 28.59 deg, intensity 100
- 2.930 Å, 30.51 deg, intensity 22
- 2.910 Å, 30.73 deg, intensity 27
- 2.502 Å, 35.89 deg, intensity 22
- 2.477 Å, 36.26 deg, intensity 50
- 2.034 Å, 44.55 deg, intensity 22
- 1.933 Å, 47.01 deg, intensity 20

Cell lengths 6.382, 6.382, 6.382 Å; angles 113.90, 112.90, 101.87 degrees
Sites, in units of the cell vectors:
Na 0.000 0.000 0.000
Si 0.500 0.500 0.000
Ag 0.194 0.694 0.500
Ag 0.806 0.306 0.500
Se 0.154 0.544 0.007
Se 0.463 0.456 0.610
Se 0.537 0.147 0.993
Se 0.846 0.853 0.390